# 1
Structure and computed X-ray powder pattern of BaPm2Se5 (a cell relaxed with PBE; Cu Kα, 1.54184 Å).
Kinematic intensities with the Lorentz-polarization factor, no thermal factor.

Atomic structure:
Cell lengths 8.237, 8.237, 16.184 Å; angles 90.00, 90.00, 148.66 degrees
Element x y z (fractional)
Ba (0.018, 0.982, 0.750)
Ba (0.982, 0.018, 0.250)
Pm (0.278, 0.722, 0.602)
Pm (0.278, 0.722, 0.898)
Pm (0.722, 0.278, 0.102)
Pm (0.722, 0.278, 0.398)
Se (0.142, 0.858, 0.020)
Se (0.142, 0.858, 0.480)
Se (0.343, 0.657, 0.174)
Se (0.343, 0.657, 0.326)
Se (0.376, 0.624, 0.750)
Se (0.624, 0.376, 0.250)
Se (0.657, 0.343, 0.674)
Se (0.657, 0.343, 0.826)
Se (0.858, 0.142, 0.520)
Se (0.858, 0.142, 0.980)

The 10 most intense peaks (2θ = 10–80°), in order of rising 2θ:
two_theta, Rel. int.
11.2, 96.3
15.6, 65.4
24.7, 64.5
26.2, 53.7
28.4, 100.0
30.4, 33.9
31.1, 77.8
35.2, 34.7
40.6, 52.4
44.5, 73.0

***

# 2
Structure and computed X-ray powder pattern of SrAl2In2Au6 (a cell relaxed with PBE; Cu Kα, 1.54184 Å).
Kinematic intensities with the Lorentz-polarization factor, no thermal factor.

Atomic structure:
Cell lengths 4.587, 6.124, 8.692 Å; angles 87.09, 77.92, 75.28 degrees
Element x y z (fractional)
Sr (0.000, 0.000, 0.000)
Al (0.243, 0.372, 0.201)
Al (0.757, 0.628, 0.799)
In (0.139, 0.261, 0.583)
In (0.861, 0.739, 0.417)
Au (0.286, 0.733, 0.634)
Au (0.303, 0.434, 0.900)
Au (0.344, 0.957, 0.293)
Au (0.656, 0.043, 0.707)
Au (0.697, 0.566, 0.100)
Au (0.714, 0.267, 0.366)

The 10 most intense peaks (2θ = 10–80°), in order of rising 2θ:
two_theta, Rel. int.
18.3, 50.6
25.8, 51.7
31.7, 100.0
32.0, 85.5
34.1, 61.7
35.1, 91.6
36.2, 84.7
39.7, 97.8
40.9, 71.2
41.4, 55.3

***

# 3
Structure and computed X-ray powder pattern of CsDyCl4 (a cell relaxed with PBE; Cu Kα, 1.54184 Å).
Kinematic intensities with the Lorentz-polarization factor, no thermal factor.

Atomic structure:
Cell lengths 6.801, 7.482, 9.196 Å; angles 73.97, 68.33, 90.00 degrees
Element x y z (fractional)
Cs (0.205, 0.250, 0.499)
Cs (0.795, 0.750, 0.501)
Dy (0.000, 0.500, 0.000)
Dy (0.500, 0.000, 0.000)
Cl (0.138, 0.164, 0.090)
Cl (0.260, 0.569, 0.698)
Cl (0.272, 0.664, 0.090)
Cl (0.459, 0.931, 0.302)
Cl (0.541, 0.069, 0.698)
Cl (0.728, 0.336, 0.910)
Cl (0.740, 0.431, 0.302)
Cl (0.862, 0.836, 0.910)

The 10 most intense peaks (2θ = 10–80°), in order of rising 2θ:
two_theta, Rel. int.
19.9, 95.1
21.7, 100.0
24.0, 28.0
26.2, 17.8
29.8, 18.4
30.2, 21.7
35.9, 28.8
36.0, 22.6
38.9, 31.0
39.2, 30.0

***

# 4
Structure and computed X-ray powder pattern of SrTlW (a cell relaxed with PBE; Cu Kα, 1.54184 Å).
Kinematic intensities with the Lorentz-polarization factor, no thermal factor.

Atomic structure:
Cell lengths 7.922, 7.922, 7.922 Å; angles 157.70, 157.70, 31.74 degrees
Element x y z (fractional)
Sr (0.000, 0.000, 0.000)
Tl (0.315, 0.315, 0.000)
W (0.668, 0.668, 0.000)

The 10 most intense peaks (2θ = 10–80°), in order of rising 2θ:
two_theta, Rel. int.
11.6, 28.4
34.2, 100.0
35.3, 20.8
41.7, 30.0
41.8, 10.5
55.8, 22.6
60.4, 10.1
62.7, 13.5
71.3, 24.2
72.0, 10.7